Entry 1:
The following is a computed powder diffractogram of Ce3PbC. It was derived from the PBE geometry in the Materials Project, using λ = 1.5418 Å (Cu Kα).
No peak broadening, texture or thermal motion is included.

Most intense lines, 15° ≤ 2θ ≤ 90°, low angle first:
hkl	2θ (°)	Rel. int.
2 0 0	29.9	100
2 1 0	33.5	82
2 2 0	42.7	75
3 0 0	45.5	45
2 2 2	53.0	27
4 2 0	70.3	34

Cell and atoms:
```
data_Ce3PbC
_chemical_formula_sum 'Ce3 Pb1 C1'
_space_group_name_H-M_alt 'P m -3 m'
_space_group_IT_number 221
_space_group_name_Hall '-P 4 2 3'
_cell_length_a 5.9862
_cell_length_b 5.9862
_cell_length_c 5.9862
_cell_angle_alpha 90.00
_cell_angle_beta 90.00
_cell_angle_gamma 90.00
loop_
_atom_site_label
_atom_site_fract_x
_atom_site_fract_y
_atom_site_fract_z
_atom_site_occupancy
Ce1 0.0000 0.0000 0.5000 1
Pb1 0.0000 0.0000 0.0000 1
C1 0.5000 0.5000 0.5000 1
```

---

Entry 2:
The following is a computed powder diffractogram of YHoC4. It was derived from the PBE geometry in the Materials Project, using λ = 1.5418 Å (Cu Kα).
No peak broadening, texture or thermal motion is included.

Most intense lines, 15° ≤ 2θ ≤ 90°, low angle first:
hkl	2θ (°)	Rel. int.
1 0 1	28.3	100
0 0 2	28.8	36
1 1 0	34.6	55
1 1 2	45.6	40
1 0 3	50.7	30
2 1 1	58.3	29

Cell and atoms:
```
data_YHoC4
_chemical_formula_sum 'Y1 Ho1 C4'
_space_group_name_H-M_alt 'P 4/m m m'
_space_group_IT_number 123
_space_group_name_Hall '-P 4 2'
_cell_length_a 3.6631
_cell_length_b 3.6631
_cell_length_c 6.2041
_cell_angle_alpha 90.00
_cell_angle_beta 90.00
_cell_angle_gamma 90.00
loop_
_atom_site_label
_atom_site_fract_x
_atom_site_fract_y
_atom_site_fract_z
_atom_site_occupancy
Y1 0.0000 0.0000 0.0000 1
Ho1 0.5000 0.5000 0.5000 1
C1 0.0000 0.0000 0.3950 1
C2 0.5000 0.5000 0.1051 1
```